No. 1
Ho4InTe2: theoretical XRD peak list (Cu Kα X-rays), based on a crystal structure in Alexandria, relaxed with GGA-PBE.
Neutral-atom scattering factors, no anomalous dispersion.

Structural model:
Unit cell a=9.340 b=13.506 c=13.561 alpha=90.00 beta=90.00 gamma=90.00
Space group Fddd (No. 70, origin choice 2)
Symmetry-distinct sites (fractional):
Ho (0.070, 0.280, 0.469)
In (0.125, 0.125, 0.625)
Te (0.000, 0.000, 0.000)

Principal peaks in the range 2θ from 10° to 80°, sorted by position:
- 26.3 deg, rel. 41.6, (0 0 4)
- 26.4 deg, rel. 42.7, (0 4 0)
- 29.6 deg, rel. 45.8, (1 3 3)
- 30.2 deg, rel. 100.0, (3 1 1)
- 35.1 deg, rel. 31.4, (1 1 5)
- 35.2 deg, rel. 43.3, (1 5 1)
- 37.6 deg, rel. 45.5, (0 4 4)
- 40.5 deg, rel. 29.4, (3 3 3)
- 49.3 deg, rel. 28.4, (4 2 4)
- 62.8 deg, rel. 26.1, (6 2 2)

No. 2
AuBr2F: theoretical XRD peak list (Cu Kα X-rays), based on a crystal structure in Alexandria, relaxed with GGA-PBE.
Neutral-atom scattering factors, no anomalous dispersion.

Structural model:
Unit cell a=3.903 b=4.385 c=6.354 alpha=91.72 beta=107.33 gamma=90.01
Space group P-1 (No. 2)
Symmetry-distinct sites (fractional):
Au (0.000, 0.000, 0.000)
Br (0.353, 0.993, 0.708)
F (0.000, 0.500, 0.000)

Principal peaks in the range 2θ from 10° to 80°, sorted by position:
- 14.6 deg, rel. 52.9, (0 0 1)
- 20.3 deg, rel. 100.0, (0 1 0)
- 31.7 deg, rel. 41.0, (1 0 1)
- 32.0 deg, rel. 37.8, (1 0 -2)
- 37.5 deg, rel. 19.3, (1 -1 1)
- 37.8 deg, rel. 18.9, (1 1 -2)
- 38.3 deg, rel. 18.9, (1 1 1)
- 38.6 deg, rel. 18.5, (-1 1 2)
- 41.2 deg, rel. 20.1, (0 2 0)
- 51.2 deg, rel. 17.4, (2 1 -1)

No. 3
TbPr2Er4: theoretical XRD peak list (Cu Kα X-rays), based on a crystal structure in Alexandria, relaxed with GGA-PBE.
Neutral-atom scattering factors, no anomalous dispersion.

Structural model:
Unit cell a=6.742 b=8.909 c=8.914 alpha=82.77 beta=67.83 gamma=67.77
Space group P1 (No. 1)
Symmetry-distinct sites (fractional):
Tb (0.000, 0.000, 0.000)
Tb (0.499, 0.052, 0.949)
Pr (0.001, 0.553, 0.447)
Pr (0.136, 0.526, 0.975)
Pr (0.500, 0.499, 0.503)
Pr (0.633, 0.026, 0.475)
Er (0.114, 0.875, 0.629)
Er (0.118, 0.177, 0.320)
Er (0.159, 0.274, 0.728)
Er (0.215, 0.778, 0.224)
Er (0.619, 0.680, 0.825)
Er (0.622, 0.373, 0.125)
Er (0.661, 0.778, 0.221)
Er (0.717, 0.274, 0.725)

Principal peaks in the range 2θ from 10° to 80°, sorted by position:
- 26.3 deg, rel. 15.4, (1 -1 2)
- 30.6 deg, rel. 100.0, (1 3 0)
- 30.7 deg, rel. 45.6, (2 2 2)
- 31.0 deg, rel. 56.1, (0 2 2)
- 34.2 deg, rel. 32.8, (0 3 -1)
- 34.4 deg, rel. 47.9, (2 1 -1)
- 44.1 deg, rel. 18.5, (2 -2 0)
- 54.8 deg, rel. 14.5, (1 5 2)
- 56.5 deg, rel. 19.6, (2 5 -1)
- 56.9 deg, rel. 18.2, (4 3 3)

No. 4
Cs2AuSeCl6: theoretical XRD peak list (Cu Kα X-rays), based on a crystal structure in Alexandria, relaxed with GGA-PBE.
Neutral-atom scattering factors, no anomalous dispersion.

Structural model:
Unit cell a=11.237 b=10.246 c=7.940 alpha=90.00 beta=134.96 gamma=90.00
Space group C2/m (No. 12)
Symmetry-distinct sites (fractional):
Cs (0.000, 0.250, 0.000)
Au (0.000, 0.000, 0.500)
Se (0.000, 0.500, 0.500)
Cl (0.000, 0.255, 0.500)
Cl (0.209, 0.000, 0.919)
Cl (0.216, 0.500, 0.500)

Principal peaks in the range 2θ from 10° to 80°, sorted by position:
- 14.1 deg, rel. 18.4, (1 1 -1)
- 22.4 deg, rel. 58.1, (2 0 0)
- 23.5 deg, rel. 100.0, (0 2 1)
- 31.9 deg, rel. 55.2, (4 0 -2)
- 35.0 deg, rel. 24.8, (0 4 0)
- 40.0 deg, rel. 45.1, (4 2 -1)
- 42.0 deg, rel. 26.3, (2 4 0)
- 45.7 deg, rel. 18.9, (4 0 0)
- 48.1 deg, rel. 36.6, (4 4 -2)
- 58.8 deg, rel. 19.1, (4 4 0)

No. 5
Cs3Cd2As2: theoretical XRD peak list (Cu Kα X-rays), based on a crystal structure in Alexandria, relaxed with GGA-PBE.
Neutral-atom scattering factors, no anomalous dispersion.

Structural model:
Unit cell a=7.290 b=9.902 c=14.991 alpha=90.00 beta=90.00 gamma=90.00
Space group Pbcm (No. 57)
Symmetry-distinct sites (fractional):
Cs (0.102, 0.144, 0.112)
Cs (0.322, 0.708, 0.750)
Cd (0.387, 0.017, 0.585)
As (0.219, 0.060, 0.750)
As (0.417, 0.750, 0.000)

Principal peaks in the range 2θ from 10° to 80°, sorted by position:
- 22.5 deg, rel. 39.9, (1 2 1)
- 25.3 deg, rel. 43.0, (0 2 3)
- 26.0 deg, rel. 59.7, (2 1 0)
- 26.7 deg, rel. 44.6, (1 0 4)
- 28.2 deg, rel. 78.7, (1 1 4)
- 30.3 deg, rel. 52.1, (1 3 1)
- 31.7 deg, rel. 100.0, (2 1 3)
- 32.4 deg, rel. 39.8, (1 2 4)
- 38.4 deg, rel. 33.3, (1 4 0)
- 50.1 deg, rel. 36.4, (4 0 0)